Computed X-ray powder pattern
Compound: Tl3RhO6
Radiation: Cu Kα (weighted mean of Kα1 and Kα2)
Structure: a crystal structure in Alexandria, relaxed with GGA-PBE
No peak broadening, texture or thermal motion is included.

Structure:
```
data_Tl3RhO6
_chemical_formula_sum 'Tl18 Rh6 O36'
_cell_length_a 9.4246
_cell_length_b 9.4246
_cell_length_c 11.4094
_cell_angle_alpha 90.00
_cell_angle_beta 90.00
_cell_angle_gamma 120.00
_space_group_name_H-M_alt 'R -3'
_space_group_IT_number 148
_space_group_name_Hall '-R 3'
loop_
_atom_site_label
_atom_site_type_symbol
_atom_site_fract_x
_atom_site_fract_y
_atom_site_fract_z
Tl1 Tl 0.0411 0.7787 0.2112
Rh1 Rh 0.0000 0.0000 0.0000
Rh2 Rh 0.0000 0.0000 0.5000
O1 O 0.0326 0.8319 0.4101
O2 O 0.0346 0.8531 0.8884
```

Top 6 peaks for 10° ≤ 2θ ≤ 90°, low angle first:
d/Å	I_rel	(hkl)
3.803	33	0 0 3
2.978	100	3 -1 1
2.960	46	2 -1 3
2.714	66	1 2 2
2.094	23	3 -1 4
1.781	28	4 1 0